Starting from the GGA+U geometry in Alexandria, the XRD peak list of BaSr7MnFe7O24 was calculated for Cu Ka.

Lattice parameters (Å, degrees): 7.8571 7.8571 7.8571 90.01 90.01 90.01
Atoms (fractional coordinates):
Ba (0.0000, 0.0000, 0.0000)
Sr (0.9998, 0.9998, 0.5006)
Sr (0.9998, 0.5006, 0.9998)
Sr (0.9998, 0.5007, 0.5007)
Sr (0.5006, 0.9998, 0.9998)
Sr (0.5007, 0.9998, 0.5007)
Sr (0.5007, 0.5007, 0.9998)
Sr (0.5007, 0.5007, 0.5007)
Mn (0.7493, 0.7493, 0.7493)
Fe (0.2513, 0.2513, 0.2513)
Fe (0.2514, 0.2514, 0.7491)
Fe (0.2514, 0.7491, 0.2514)
Fe (0.2514, 0.7493, 0.7493)
Fe (0.7491, 0.2514, 0.2514)
Fe (0.7493, 0.2514, 0.7493)
Fe (0.7493, 0.7493, 0.2514)
O (0.0003, 0.2543, 0.2543)
O (0.0012, 0.2543, 0.7461)
O (0.0012, 0.7461, 0.2543)
O (0.2515, 0.2515, 0.5002)
O (0.2515, 0.4994, 0.7490)
O (0.2515, 0.5002, 0.2515)
O (0.2515, 0.7490, 0.4994)
O (0.2543, 0.0003, 0.2543)
O (0.2543, 0.0012, 0.7461)
O (0.2543, 0.2543, 0.0003)
O (0.2543, 0.7461, 0.0012)
O (0.4994, 0.2515, 0.7490)
O (0.4994, 0.7490, 0.2515)
O (0.5002, 0.2515, 0.2515)
O (0.5027, 0.7490, 0.7490)
O (0.7461, 0.0012, 0.2543)
O (0.7461, 0.2543, 0.0012)
O (0.7460, 0.7460, 0.9977)
O (0.7460, 0.9977, 0.7460)
O (0.7491, 0.2515, 0.4994)
O (0.7491, 0.4994, 0.2515)
O (0.7490, 0.5027, 0.7490)
O (0.7490, 0.7490, 0.5027)
O (0.9977, 0.7460, 0.7460)

Principal peaks in the range 2θ = 10–90°, by angle:
- d 2.778, 2θ = 32.22°, intensity 1000
- d 2.268, 2θ = 39.74°, intensity 141
- d 1.964, 2θ = 46.22°, intensity 379
- d 1.604, 2θ = 57.46°, intensity 378
- d 1.389, 2θ = 67.43°, intensity 218
- d 1.242, 2θ = 76.71°, intensity 162
- d 1.184, 2θ = 81.21°, intensity 42
- d 1.134, 2θ = 85.65°, intensity 72